AcPd4Pb2: simulated XRD peak list (a wavelength of 1.5418 Å), based on a structure optimized by DFT (PBE).
No peak broadening, texture or thermal motion is included.

Structural model:
Cell lengths 20.883, 4.954, 5.996 Å; angles 90.00, 90.00, 90.00 degrees
Fractional positions:
Ac 0.121 0.250 0.073
Ac 0.379 0.750 0.573
Ac 0.621 0.250 0.427
Ac 0.879 0.750 0.927
Pd 0.017 0.750 0.152
Pd 0.101 0.250 0.574
Pd 0.148 0.750 0.341
Pd 0.175 0.750 0.784
Pd 0.325 0.250 0.284
Pd 0.352 0.250 0.841
Pd 0.399 0.750 0.074
Pd 0.483 0.250 0.652
Pd 0.517 0.750 0.348
Pd 0.601 0.250 0.926
Pd 0.648 0.750 0.159
Pd 0.675 0.750 0.716
Pd 0.825 0.250 0.216
Pd 0.852 0.250 0.659
Pd 0.899 0.750 0.426
Pd 0.983 0.250 0.848
Pb 0.038 0.750 0.661
Pb 0.234 0.250 0.614
Pb 0.266 0.750 0.114
Pb 0.462 0.250 0.161
Pb 0.538 0.750 0.839
Pb 0.734 0.250 0.886
Pb 0.766 0.750 0.386
Pb 0.962 0.250 0.339

Largest 6 diffraction maxima, low angle first, 2θ = 15–90°:
2theta	d/Å	I/Imax
26.6	3.348	56
31.4	2.848	38
36.1	2.491	46
36.3	2.477	92
37.4	2.407	100
39.0	2.309	71

LiPm2AuO5: simulated XRD peak list (a wavelength of 1.5418 Å), based on a structure optimized by DFT (PBE).
No peak broadening, texture or thermal motion is included.

Structural model:
Cell lengths 6.737, 6.737, 5.918 Å; angles 90.00, 90.00, 90.00 degrees
Fractional positions:
Li 0.000 0.000 0.000
Li 0.500 0.500 0.000
Pm 0.177 0.323 0.500
Pm 0.323 0.823 0.500
Pm 0.677 0.177 0.500
Pm 0.823 0.677 0.500
Au 0.000 0.500 0.000
Au 0.500 0.000 0.000
O 0.000 0.000 0.500
O 0.137 0.637 0.255
O 0.137 0.637 0.745
O 0.363 0.137 0.255
O 0.363 0.137 0.745
O 0.500 0.500 0.500
O 0.637 0.863 0.255
O 0.637 0.863 0.745
O 0.863 0.363 0.255
O 0.863 0.363 0.745

Largest 6 diffraction maxima, low angle first, 2θ = 15–90°:
2theta	d/Å	I/Imax
18.6	4.764	84
30.2	2.959	38
30.5	2.928	100
33.4	2.685	51
42.8	2.111	39
45.2	2.005	58

Pm4In5Si2: simulated XRD peak list (a wavelength of 1.5418 Å), based on a structure optimized by DFT (PBE).
No peak broadening, texture or thermal motion is included.

Structural model:
Cell lengths 7.641, 4.260, 8.858 Å; angles 90.00, 93.25, 90.00 degrees
Fractional positions:
Pm 0.203 0.000 0.354
Pm 0.227 0.000 0.913
Pm 0.773 0.000 0.087
Pm 0.797 0.000 0.646
In 0.139 0.500 0.633
In 0.450 0.500 0.161
In 0.500 0.500 0.500
In 0.550 0.500 0.839
In 0.861 0.500 0.367
Si 0.077 0.500 0.122
Si 0.923 0.500 0.878

Largest 6 diffraction maxima, low angle first, 2θ = 15–90°:
2theta	d/Å	I/Imax
31.0	2.886	89
31.5	2.842	98
31.9	2.808	100
33.2	2.699	36
35.3	2.543	34
42.4	2.130	48

SmTm2Pd2: simulated XRD peak list (a wavelength of 1.5418 Å), based on a structure optimized by DFT (PBE).
No peak broadening, texture or thermal motion is included.

Structural model:
Cell lengths 5.215, 4.738, 10.411 Å; angles 90.00, 96.29, 90.00 degrees
Fractional positions:
Sm 0.192 0.250 0.229
Sm 0.808 0.750 0.771
Tm 0.248 0.750 0.496
Tm 0.330 0.250 0.891
Tm 0.670 0.750 0.109
Tm 0.752 0.250 0.504
Pd 0.158 0.750 0.022
Pd 0.278 0.250 0.626
Pd 0.722 0.750 0.374
Pd 0.842 0.250 0.978

Largest 6 diffraction maxima, low angle first, 2θ = 15–90°:
2theta	d/Å	I/Imax
27.5	3.241	40
29.8	3.002	100
31.9	2.803	43
32.1	2.789	80
34.6	2.591	53
38.0	2.369	73

DyNpZn: simulated XRD peak list (a wavelength of 1.5418 Å), based on a structure optimized by DFT (PBE).
No peak broadening, texture or thermal motion is included.

Structural model:
Cell lengths 3.147, 19.778, 4.157 Å; angles 90.00, 90.00, 90.00 degrees
Fractional positions:
Dy 0.000 0.134 0.250
Dy 0.000 0.866 0.750
Dy 0.500 0.366 0.750
Dy 0.500 0.634 0.250
Np 0.000 0.469 0.250
Np 0.000 0.531 0.750
Np 0.500 0.031 0.750
Np 0.500 0.969 0.250
Zn 0.000 0.286 0.250
Zn 0.000 0.714 0.750
Zn 0.500 0.214 0.750
Zn 0.500 0.786 0.250

Largest 6 diffraction maxima, low angle first, 2θ = 15–90°:
2theta	d/Å	I/Imax
31.5	2.840	53
34.7	2.583	100
36.1	2.489	52
36.5	2.463	35
43.5	2.079	31
55.6	1.653	34

Ce6CoBi5: simulated XRD peak list (a wavelength of 1.5418 Å), based on a structure optimized by DFT (PBE).
No peak broadening, texture or thermal motion is included.

Structural model:
Cell lengths 7.767, 7.767, 7.747 Å; angles 99.77, 99.77, 119.72 degrees
Fractional positions:
Ce 0.073 0.370 0.724
Ce 0.218 0.218 0.261
Ce 0.370 0.073 0.724
Ce 0.630 0.927 0.276
Ce 0.782 0.782 0.739
Ce 0.927 0.630 0.276
Co 0.000 0.000 0.500
Bi 0.183 0.817 0.000
Bi 0.336 0.664 0.500
Bi 0.500 0.500 0.000
Bi 0.664 0.336 0.500
Bi 0.817 0.183 0.000

Largest 6 diffraction maxima, low angle first, 2θ = 15–90°:
2theta	d/Å	I/Imax
28.1	3.179	53
28.2	3.164	100
40.1	2.248	37
40.3	2.237	74
49.8	1.830	18
65.9	1.418	15

AsCI: simulated XRD peak list (a wavelength of 1.5418 Å), based on a structure optimized by DFT (PBE).
No peak broadening, texture or thermal motion is included.

Structural model:
Cell lengths 3.223, 4.771, 6.598 Å; angles 105.34, 96.90, 98.77 degrees
Fractional positions:
As 0.000 0.000 0.000
C 0.429 0.854 0.846
I 0.284 0.554 0.535

Largest 6 diffraction maxima, low angle first, 2θ = 15–90°:
2theta	d/Å	I/Imax
20.7	4.299	100
27.5	3.247	38
28.5	3.137	53
29.6	3.018	21
34.0	2.635	16
42.0	2.149	27

Ce4Se3Cl: simulated XRD peak list (a wavelength of 1.5418 Å), based on a structure optimized by DFT (PBE).
No peak broadening, texture or thermal motion is included.

Structural model:
Cell lengths 4.071, 4.071, 14.414 Å; angles 90.00, 90.00, 120.00 degrees
Fractional positions:
Ce 0.333 0.667 0.373
Ce 0.333 0.667 0.879
Ce 0.667 0.333 0.121
Ce 0.667 0.333 0.627
Se 0.000 0.000 0.245
Se 0.000 0.000 0.500
Se 0.000 0.000 0.755
Cl 0.000 0.000 0.000

Largest 6 diffraction maxima, low angle first, 2θ = 15–90°:
2theta	d/Å	I/Imax
28.2	3.167	100
35.6	2.520	70
44.5	2.035	42
45.7	1.985	26
53.5	1.712	17
69.7	1.349	21

Rb2ScF6: simulated XRD peak list (a wavelength of 1.5418 Å), based on a structure optimized by DFT (PBE).
No peak broadening, texture or thermal motion is included.

Structural model:
Cell lengths 6.375, 6.375, 9.542 Å; angles 90.00, 90.00, 120.00 degrees
Fractional positions:
Rb 0.000 0.000 0.000
Rb 0.000 0.000 0.500
Rb 0.333 0.667 0.264
Rb 0.667 0.333 0.764
Sc 0.333 0.667 0.671
Sc 0.667 0.333 0.171
F 0.044 0.522 0.536
F 0.172 0.345 0.769
F 0.172 0.828 0.769
F 0.345 0.172 0.269
F 0.478 0.522 0.536
F 0.478 0.956 0.536
F 0.522 0.044 0.036
F 0.522 0.478 0.036
F 0.655 0.828 0.769
F 0.828 0.172 0.269
F 0.828 0.655 0.269
F 0.956 0.478 0.036

Largest 6 diffraction maxima, low angle first, 2θ = 15–90°:
2theta	d/Å	I/Imax
24.7	3.610	73
28.0	3.188	63
33.8	2.652	24
37.7	2.389	100
47.6	1.911	37
57.9	1.594	23

PdS2O6F2: simulated XRD peak list (a wavelength of 1.5418 Å), based on a structure optimized by DFT (PBE).
No peak broadening, texture or thermal motion is included.

Structural model:
Cell lengths 5.153, 5.153, 7.308 Å; angles 90.00, 90.00, 120.00 degrees
Fractional positions:
Pd 0.000 0.000 0.000
S 0.333 0.667 0.774
S 0.667 0.333 0.226
O 0.068 0.686 0.820
O 0.314 0.381 0.820
O 0.381 0.068 0.180
O 0.619 0.932 0.820
O 0.686 0.619 0.180
O 0.932 0.314 0.180
F 0.333 0.667 0.557
F 0.667 0.333 0.443

Largest 6 diffraction maxima, low angle first, 2θ = 15–90°:
2theta	d/Å	I/Imax
23.4	3.808	100
31.6	2.827	34
34.8	2.576	23
37.0	2.430	11
42.3	2.136	32
55.9	1.644	21

Y3Zr2: simulated XRD peak list (a wavelength of 1.5418 Å), based on a structure optimized by DFT (PBE).
No peak broadening, texture or thermal motion is included.

Structural model:
Cell lengths 5.264, 5.264, 6.524 Å; angles 90.00, 90.00, 120.00 degrees
Fractional positions:
Y 0.000 0.000 0.000
Y 0.333 0.667 0.352
Y 0.667 0.333 0.648
Zr 0.333 0.667 0.892
Zr 0.667 0.333 0.108

Largest 6 diffraction maxima, low angle first, 2θ = 15–90°:
2theta	d/Å	I/Imax
19.5	4.558	17
33.8	2.653	100
34.1	2.632	98
48.7	1.868	35
60.8	1.523	35
61.0	1.519	17

NaAlInAu3: simulated XRD peak list (a wavelength of 1.5418 Å), based on a structure optimized by DFT (PBE).
No peak broadening, texture or thermal motion is included.

Structural model:
Cell lengths 7.882, 7.882, 5.993 Å; angles 97.99, 97.99, 131.38 degrees
Fractional positions:
Na 0.231 0.769 0.750
Na 0.769 0.231 0.250
Al 0.012 0.988 0.250
Al 0.988 0.012 0.750
In 0.388 0.612 0.250
In 0.612 0.388 0.750
Au 0.194 0.806 0.250
Au 0.210 0.360 0.580
Au 0.360 0.210 0.080
Au 0.640 0.790 0.920
Au 0.790 0.640 0.420
Au 0.806 0.194 0.750

Largest 6 diffraction maxima, low angle first, 2θ = 15–90°:
2theta	d/Å	I/Imax
25.6	3.482	100
31.8	2.811	26
34.5	2.600	30
35.3	2.544	42
43.8	2.065	28
45.9	1.979	30

Tl5Sb2H2: simulated XRD peak list (a wavelength of 1.5418 Å), based on a structure optimized by DFT (PBE).
No peak broadening, texture or thermal motion is included.

Structural model:
Cell lengths 6.219, 8.275, 11.094 Å; angles 68.99, 76.27, 89.12 degrees
Fractional positions:
Tl 0.000 0.000 0.000
Tl 0.000 0.276 0.660
Tl 0.312 0.864 0.304
Tl 0.316 0.798 0.636
Tl 0.374 0.334 0.332
Tl 0.507 0.317 0.877
Tl 0.521 0.847 0.883
Tl 0.786 0.574 0.424
Tl 0.825 0.037 0.434
Tl 0.954 0.531 0.966
Sb 0.161 0.228 0.139
Sb 0.501 0.193 0.633
Sb 0.651 0.683 0.154
Sb 0.809 0.647 0.691
H 0.083 0.438 0.422
H 0.225 0.718 0.879
H 0.550 0.956 0.382
H 0.765 0.171 0.921

Largest 6 diffraction maxima, low angle first, 2θ = 15–90°:
2theta	d/Å	I/Imax
26.3	3.385	100
27.1	3.291	85
28.5	3.137	96
29.2	3.061	82
34.2	2.625	96
34.8	2.575	80